Diffraction record for PuZn8Ga2Pd. The powder X-ray diffraction pattern is computed, not measured: it uses a crystal structure in Alexandria, relaxed with PBE and Cu Kα.

Most intense lines, 2θ from 10° to 90°, sorted by position:
2theta  d (Å)  I/Imax
23.58  3.773  46
28.54  3.128  67
30.86  2.898  73
36.42  2.467  100
37.38  2.406  70
37.71  2.385  83
40.12  2.248  89
40.24  2.241  91
40.61  2.221  96
45.17  2.007  48

a = 4.577 Å, b = 4.577 Å, c = 11.162 Å
α = 100.01°, β = 100.01°, γ = 65.21°
Positions (direct):
Pu 0.000 0.000 0.000
Zn 0.188 0.695 0.693
Zn 0.265 0.265 0.840
Zn 0.305 0.812 0.307
Zn 0.331 0.331 0.464
Zn 0.669 0.669 0.536
Zn 0.695 0.188 0.693
Zn 0.735 0.735 0.160
Zn 0.812 0.305 0.307
Ga 0.368 0.368 0.120
Ga 0.632 0.632 0.880
Pd 0.000 0.000 0.500